(1)
Theoretical X-ray powder pattern
Compound: CdGa2Te4
Radiation: CuKα
Structure: a GGA-PBE-relaxed structure
Neutral-atom scattering factors, no anomalous dispersion.

Most intense lines, 10° ≤ 2θ ≤ 90°, sorted by position:
Position (°2θ)  intensity
24.95  100
32.20  6
32.78  7
40.68  24
41.63  44
48.32  30
49.97  13
58.89  7
66.33  11
74.69  13

Atomic structure:
```
7
Lattice="-3.136 3.136 6.007 3.136 -3.136 6.007 3.136 3.136 -6.007" Properties=species:S:1:pos:R:3 pbc="T T T"
Cd 0.000 0.000 0.000
Ga 3.136 0.000 3.004
Ga 0.000 0.000 6.007
Te 4.548 1.588 -1.659
Te 1.588 1.725 1.659
Te -1.412 1.549 4.348
Te 1.549 1.412 7.666
```

(2)
Theoretical X-ray powder pattern
Compound: YCdGa
Radiation: CuKα
Structure: a GGA-PBE-relaxed structure
Neutral-atom scattering factors, no anomalous dispersion.

Most intense lines, 10° ≤ 2θ ≤ 90°, sorted by position:
Position (°2θ)  intensity
22.18  32
25.67  15
36.62  100
43.23  16
52.75  17
57.91  6
59.57  6
65.93  34
77.85  10
89.25  15

Atomic structure:
```
3
Lattice="0.000 3.470 3.470 3.470 0.000 3.470 3.470 3.470 0.000" Properties=species:S:1:pos:R:3 pbc="T T T"
Y 0.000 0.000 0.000
Cd 1.735 1.735 1.735
Ga 5.206 5.206 5.206
```

(3)
Theoretical X-ray powder pattern
Compound: Gd3Cd
Radiation: CuKα
Structure: a GGA-PBE-relaxed structure
Neutral-atom scattering factors, no anomalous dispersion.

Most intense lines, 10° ≤ 2θ ≤ 90°, sorted by position:
Position (°2θ)  intensity
29.46  24
32.26  25
33.69  100
44.25  16
52.26  19
58.44  20
62.76  21
63.63  15
82.22  8
86.78  13

Atomic structure:
```
8
Lattice="7.001 0.000 0.000 -3.501 6.063 0.000 0.000 0.000 5.550" Properties=species:S:1:pos:R:3 pbc="T T T"
Gd 0.000 2.090 1.388
Gd -1.690 5.018 1.388
Gd 1.810 1.045 4.163
Gd 1.690 5.018 1.388
Gd 5.191 1.045 4.163
Gd 3.501 3.973 4.163
Cd 0.000 4.042 4.163
Cd 3.501 2.021 1.388
```

(4)
Theoretical X-ray powder pattern
Compound: GdCd2
Radiation: CuKα
Structure: a GGA-PBE-relaxed structure
Neutral-atom scattering factors, no anomalous dispersion.

Most intense lines, 10° ≤ 2θ ≤ 90°, sorted by position:
Position (°2θ)  intensity
20.61  4
33.95  100
36.11  86
50.40  32
54.96  8
63.55  32
64.92  15
67.54  26
76.60  9
86.49  14

Atomic structure:
```
3
Lattice="4.975 0.000 0.000 -2.488 4.309 0.000 0.000 0.000 3.342" Properties=species:S:1:pos:R:3 pbc="T T T"
Gd 0.000 0.000 0.000
Cd 0.000 2.873 1.671
Cd 2.488 1.436 1.671
```

(5)
Theoretical X-ray powder pattern
Compound: Gd2CdHg
Radiation: CuKα
Structure: a GGA-PBE-relaxed structure
Neutral-atom scattering factors, no anomalous dispersion.

Most intense lines, 10° ≤ 2θ ≤ 90°, sorted by position:
Position (°2θ)  intensity
20.52  4
33.81  100
39.88  2
48.57  18
53.25  1
60.49  37
64.59  1
71.13  12
74.93  1
81.12  16

Atomic structure:
```
4
Lattice="0.000 3.749 3.749 3.749 0.000 3.749 3.749 3.749 0.000" Properties=species:S:1:pos:R:3 pbc="T T T"
Gd 1.875 1.875 1.875
Gd 5.624 5.624 5.624
Cd 0.000 0.000 0.000
Hg 3.749 3.749 3.749
```

(6)
Theoretical X-ray powder pattern
Compound: Gd2CdIn
Radiation: CuKα
Structure: a GGA-PBE-relaxed structure
Neutral-atom scattering factors, no anomalous dispersion.

Most intense lines, 10° ≤ 2θ ≤ 90°, sorted by position:
Position (°2θ)  intensity
23.62  2
33.66  100
41.53  1
48.34  18
54.48  1
60.19  37
70.76  11
75.77  1
80.68  16

Atomic structure:
```
4
Lattice="0.000 3.766 3.766 3.766 0.000 3.766 3.766 3.766 0.000" Properties=species:S:1:pos:R:3 pbc="T T T"
Gd 1.883 1.883 1.883
Gd 5.649 5.649 5.649
Cd 0.000 0.000 0.000
In 3.766 3.766 3.766
```

(7)
Theoretical X-ray powder pattern
Compound: GdLuCd2
Radiation: CuKα
Structure: a GGA-PBE-relaxed structure
Neutral-atom scattering factors, no anomalous dispersion.

Most intense lines, 10° ≤ 2θ ≤ 90°, sorted by position:
Position (°2θ)  intensity
23.95  4
34.12  100
42.12  1
49.03  18
55.27  2
61.08  36
71.85  11
76.98  1
81.99  16
86.95  1

Atomic structure:
```
4
Lattice="0.000 3.716 3.716 3.716 0.000 3.716 3.716 3.716 0.000" Properties=species:S:1:pos:R:3 pbc="T T T"
Gd 0.000 0.000 0.000
Lu 3.716 3.716 3.716
Cd 1.858 1.858 1.858
Cd 5.574 5.574 5.574
```

(8)
Theoretical X-ray powder pattern
Compound: GdMgCd2
Radiation: CuKα
Structure: a GGA-PBE-relaxed structure
Neutral-atom scattering factors, no anomalous dispersion.

Most intense lines, 10° ≤ 2θ ≤ 90°, sorted by position:
Position (°2θ)  intensity
21.22  23
34.99  100
41.28  13
50.32  17
55.20  5
62.76  35
67.05  4
73.92  11
77.92  4
84.48  15

Atomic structure:
```
4
Lattice="0.000 3.627 3.627 3.627 0.000 3.627 3.627 3.627 0.000" Properties=species:S:1:pos:R:3 pbc="T T T"
Gd 0.000 0.000 0.000
Mg 3.627 3.627 3.627
Cd 1.813 1.813 1.813
Cd 5.440 5.440 5.440
```

(9)
Theoretical X-ray powder pattern
Compound: GdCdO3
Radiation: CuKα
Structure: a GGA-PBE-relaxed structure
Neutral-atom scattering factors, no anomalous dispersion.

Most intense lines, 10° ≤ 2θ ≤ 90°, sorted by position:
Position (°2θ)  intensity
21.47  1
30.55  100
37.65  5
43.75  29
54.30  40
63.59  18
72.18  17
76.32  1
80.38  6
88.37  21

Atomic structure:
```
5
Lattice="4.138 0.000 0.000 0.000 4.138 0.000 0.000 0.000 4.138" Properties=species:S:1:pos:R:3 pbc="T T T"
Gd 0.000 0.000 0.000
Cd 2.069 2.069 2.069
O 0.000 2.069 2.069
O 2.069 0.000 2.069
O 2.069 2.069 0.000
```

(10)
Theoretical X-ray powder pattern
Compound: GdTiCdSbO7
Radiation: CuKα
Structure: a GGA-PBE-relaxed structure
Neutral-atom scattering factors, no anomalous dispersion.

Most intense lines, 10° ≤ 2θ ≤ 90°, sorted by position:
Position (°2θ)  intensity
29.52  100
30.23  92
34.54  40
34.84  20
48.71  15
49.87  58
50.57  14
58.41  27
59.22  13
59.64  39

Atomic structure:
```
22
Lattice="-3.610 3.739 5.151 3.610 -3.739 5.151 3.610 3.739 -5.151" Properties=species:S:1:pos:R:3 pbc="T T T"
Gd 0.000 0.000 0.000
Gd 0.000 3.739 0.000
Ti -1.805 1.870 2.575
Ti 1.805 1.870 2.575
Cd 1.805 1.870 -2.575
Cd 1.805 -1.870 2.575
Sb 3.610 0.000 0.000
Sb 0.000 0.000 5.151
O 3.610 -1.870 3.868
O 3.610 1.870 -0.808
O 2.138 0.426 1.259
O 5.082 0.426 1.259
O 0.000 1.870 1.822
O 2.138 4.165 -1.259
O 1.472 0.426 3.891
O 2.138 3.313 1.259
O 1.472 -0.426 6.410
O 3.610 1.870 3.329
O -1.472 3.313 3.891
O 1.472 3.313 3.891
O 0.000 1.870 5.958
O 0.000 5.609 1.282
```

(11)
Theoretical X-ray powder pattern
Compound: GdTiCdSbO7
Radiation: CuKα
Structure: a GGA-PBE-relaxed structure
Neutral-atom scattering factors, no anomalous dispersion.

Most intense lines, 10° ≤ 2θ ≤ 90°, sorted by position:
Position (°2θ)  intensity
19.15  10
29.85  100
34.52  11
34.64  21
49.74  45
58.99  14
59.15  27
62.01  10
80.76  11
83.44  9

Atomic structure:
```
44
Lattice="7.324 0.000 0.000 0.000 7.324 0.000 0.000 0.000 10.392" Properties=species:S:1:pos:R:3 pbc="T T T"
Gd 0.000 1.936 0.000
Gd 0.000 5.387 5.196
Gd 1.936 0.000 7.794
Gd 5.387 0.000 2.598
Ti 0.000 1.740 5.196
Ti 0.000 5.584 0.000
Ti 1.740 0.000 2.598
Ti 5.584 0.000 7.794
Cd 1.889 3.662 7.794
Cd 3.662 1.889 0.000
Cd 3.662 5.435 5.196
Cd 5.435 3.662 2.598
Sb 1.790 3.662 2.598
Sb 3.662 1.790 5.196
Sb 3.662 5.534 0.000
Sb 5.534 3.662 7.794
O 0.352 0.352 3.897
O 0.352 6.971 1.299
O 0.393 3.285 3.968
O 0.393 4.038 1.228
O 1.720 1.826 1.834
O 1.720 5.498 3.362
O 1.826 1.720 5.960
O 1.826 5.604 9.629
O 1.852 1.852 9.093
O 1.852 5.472 6.495
O 3.285 0.393 3.826
O 3.285 6.931 1.370
O 3.299 3.299 3.897
O 3.299 4.025 1.299
O 4.025 3.299 6.495
O 4.025 4.025 9.093
O 4.038 0.393 6.566
O 4.038 6.931 9.022
O 5.472 1.852 1.299
O 5.472 5.472 3.897
O 5.498 1.720 4.433
O 5.498 5.604 0.764
O 5.604 1.826 8.558
O 5.604 5.498 7.031
O 6.931 3.285 6.424
O 6.931 4.038 9.164
O 6.971 0.352 6.495
O 6.971 6.971 9.093
```

(12)
Theoretical X-ray powder pattern
Compound: Gd2CdPd2
Radiation: CuKα
Structure: a GGA-PBE-relaxed structure
Neutral-atom scattering factors, no anomalous dispersion.

Most intense lines, 10° ≤ 2θ ≤ 90°, sorted by position:
Position (°2θ)  intensity
32.53  9
32.99  31
35.00  100
36.50  42
48.02  14
54.28  14
61.79  18
65.97  9
69.61  12
80.97  9

Atomic structure:
```
10
Lattice="7.785 0.000 0.000 0.000 7.785 0.000 0.000 0.000 3.789" Properties=species:S:1:pos:R:3 pbc="T T T"
Gd 1.342 2.550 0.000
Gd 2.550 6.443 0.000
Gd 5.235 1.342 0.000
Gd 6.443 5.235 0.000
Cd 0.000 0.000 1.895
Cd 3.892 3.892 1.895
Pd 1.004 4.896 1.895
Pd 2.889 1.004 1.895
Pd 4.896 6.781 1.895
Pd 6.781 2.889 1.895
```